(1)
# TlH2I3
Theoretical powder X-ray diffraction pattern, λ = 1.5418 Å (Cu Kα). Input: a crystal structure in Alexandria, relaxed with PBE.
Peak positions follow from Bragg's law for the DFT cell and can differ from measured ones.

Atomic structure:
```
12
Lattice="6.025 -4.631 0.000 6.025 4.631 0.000 -5.652 0.000 7.851" Properties=species:S:1:pos:R:3 pbc="T T T"
Tl 1.786 3.676 5.888
Tl 4.612 -3.676 1.963
H 3.156 0.686 1.661
H 0.330 -0.686 5.586
H 6.068 0.686 2.265
H 3.242 -0.686 6.190
I -0.864 0.625 5.485
I 4.612 2.189 1.963
I 1.962 -0.625 1.560
I 4.435 0.625 6.291
I 1.786 -2.189 5.888
I 7.261 -0.625 2.365
```

The 8 most intense peaks (2θ from 10° to 90°), in order of rising 2θ:
- 13.17°, 6.724 Å, I = 44
- 22.65°, 3.925 Å, I = 100
- 24.25°, 3.670 Å, I = 90
- 25.08°, 3.550 Å, I = 52
- 29.69°, 3.009 Å, I = 45
- 30.50°, 2.931 Å, I = 51
- 32.93°, 2.720 Å, I = 43
- 38.50°, 2.338 Å, I = 37

***

(2)
# K2RhF7
Theoretical powder X-ray diffraction pattern, λ = 1.5418 Å (Cu Kα). Input: a crystal structure in Alexandria, relaxed with PBE.
Peak positions follow from Bragg's law for the DFT cell and can differ from measured ones.

Atomic structure:
```
20
Lattice="6.832 -3.148 0.000 6.832 3.148 0.000 -6.652 0.000 7.488" Properties=species:S:1:pos:R:3 pbc="T T T"
K -0.410 2.090 5.814
K 4.097 2.090 5.419
K 2.916 -2.090 2.070
K 7.423 -2.090 1.674
Rh 5.169 1.285 1.872
Rh 1.843 -1.285 5.616
F -4.914 0.253 6.767
F -1.588 -0.253 3.023
F 3.252 1.293 2.389
F 4.661 0.698 0.091
F 1.843 0.675 5.616
F 7.086 1.293 1.355
F 1.335 -0.698 3.835
F 5.677 0.698 3.654
F -0.074 -1.293 6.133
F 5.169 -0.675 1.872
F 2.352 -0.698 7.398
F 3.760 -1.293 5.099
F 8.601 0.253 4.466
F 11.927 -0.253 0.722
```

The 8 most intense peaks (2θ from 10° to 90°), in order of rising 2θ:
- 16.65°, 5.324 Å, I = 100
- 17.36°, 5.108 Å, I = 53
- 17.79°, 4.987 Å, I = 34
- 23.76°, 3.744 Å, I = 59
- 24.74°, 3.599 Å, I = 70
- 30.40°, 2.940 Å, I = 29
- 37.32°, 2.410 Å, I = 30
- 41.74°, 2.164 Å, I = 37